For ErCoSi2, a structure optimized by DFT (GGA-PBE) gives the simulated XRD peak list in this record (Cu Kα).
Peak positions follow from Bragg's law for the DFT cell and can differ from measured ones.

Atomic structure:
```
ErCoSi2
1.0
1.9988 -8.1192 0.0000
1.9988 8.1192 0.0000
0.0000 0.0000 3.9647
Er Co Si
2 2 4
direct
0.1075 0.8925 0.7500 Er
0.8925 0.1075 0.2500 Er
0.3216 0.6784 0.7500 Co
0.6784 0.3216 0.2500 Co
0.2499 0.7501 0.2500 Si
0.4579 0.5421 0.7500 Si
0.5421 0.4579 0.2500 Si
0.7501 0.2499 0.7500 Si
```

Main lines, by angle (2θ from 15° to 90°):
2θ/deg  I (rel.)
21.9  37
25.0  35
32.3  76
35.6  71
36.0  100
40.4  37

---

For ErCoSi3, a structure optimized by DFT (GGA-PBE) gives the simulated XRD peak list in this record (Cu Kα).
Peak positions follow from Bragg's law for the DFT cell and can differ from measured ones.

Atomic structure:
```
ErCoSi3
1.0
1.9603 -10.5200 0.0000
1.9603 10.5200 0.0000
0.0000 0.0000 3.9394
Er Co Si
2 2 6
direct
0.1689 0.8311 0.0000 Er
0.8311 0.1689 0.0000 Er
0.3906 0.6094 0.5000 Co
0.6094 0.3906 0.5000 Co
0.0563 0.9437 0.5000 Si
0.2841 0.7159 0.5000 Si
0.4439 0.5561 0.0000 Si
0.5561 0.4439 0.0000 Si
0.7159 0.2841 0.5000 Si
0.9437 0.0563 0.5000 Si
```

Main lines, by angle (2θ from 15° to 90°):
2θ/deg  I (rel.)
16.9  27
26.0  25
34.2  39
34.7  100
45.2  26
46.1  19

---

For Er3Co2Si3, a structure optimized by DFT (GGA-PBE) gives the simulated XRD peak list in this record (Cu Kα).
Peak positions follow from Bragg's law for the DFT cell and can differ from measured ones.

Atomic structure:
```
Er3Co2Si3
1.0
2.0260 -5.1612 0.0000
2.0260 5.1612 0.0000
0.0000 0.0000 13.4198
Er Co Si
6 4 6
direct
0.0797 0.9203 0.6125 Er
0.0797 0.9203 0.8875 Er
0.3609 0.6391 0.7500 Er
0.6391 0.3609 0.2500 Er
0.9203 0.0797 0.1125 Er
0.9203 0.0797 0.3875 Er
0.2139 0.7861 0.0816 Co
0.2139 0.7861 0.4184 Co
0.7861 0.2139 0.5816 Co
0.7861 0.2139 0.9184 Co
0.3307 0.6693 0.2500 Si
0.3805 0.6195 0.5387 Si
0.3805 0.6195 0.9613 Si
0.6195 0.3805 0.0387 Si
0.6195 0.3805 0.4613 Si
0.6693 0.3307 0.7500 Si
```

Main lines, by angle (2θ from 15° to 90°):
2θ/deg  I (rel.)
26.4  46
34.8  85
35.8  100
39.8  42
40.3  40
44.7  36

---

For ErCo9Si2, a structure optimized by DFT (GGA-PBE) gives the simulated XRD peak list in this record (Cu Kα).
Peak positions follow from Bragg's law for the DFT cell and can differ from measured ones.

Atomic structure:
```
ErCo9Si2
1.0
-4.8241 4.8241 3.1286
4.8241 -4.8241 3.1286
4.8241 4.8241 -3.1286
Er Co Si
2 18 4
direct
0.3750 0.6250 0.7500 Er
0.6250 0.3750 0.2500 Er
0.1250 0.8750 0.2500 Co
0.1375 0.5588 0.3318 Co
0.1375 0.8057 0.5786 Co
0.1943 0.2730 0.3318 Co
0.1943 0.8625 0.9214 Co
0.2730 0.1943 0.8318 Co
0.2730 0.4412 0.0786 Co
0.4412 0.2730 0.5786 Co
0.4412 0.8625 0.1682 Co
0.5588 0.1375 0.8318 Co
0.5588 0.7270 0.4214 Co
0.7270 0.5588 0.9214 Co
0.7270 0.8057 0.1682 Co
0.8057 0.1375 0.0786 Co
0.8057 0.7270 0.6682 Co
0.8625 0.1943 0.4214 Co
0.8625 0.4412 0.6682 Co
0.8750 0.1250 0.7500 Co
0.0000 0.0000 0.0000 Si
0.0000 0.0000 0.5000 Si
0.0000 0.5000 0.0000 Si
0.5000 0.0000 0.5000 Si
```

Main lines, by angle (2θ from 15° to 90°):
2θ/deg  I (rel.)
36.5  29
41.3  100
41.9  71
44.4  26
49.4  24
76.1  26